This entry pairs a crystal structure of Cd3Tc with its theoretical powder diffraction line list. Radiation: Cu Kα, 1.54184 Å. Structure: a cell relaxed with GGA-PBE.
Intensities are scaled so that the largest is 100.

Principal peaks in the range 15 to 90 degrees two-theta, low angle first:
Position (°2θ), d [Å], Rel. int.
36.85, 2.439, 100
40.85, 2.209, 18
41.92, 2.155, 1
43.76, 2.069, 31
61.41, 1.510, 21
63.61, 1.463, 10
71.76, 1.315, 12
75.84, 1.254, 23
78.42, 1.220, 10
88.54, 1.104, 2

Crystal structure
a b c (Å): 9.3072 9.3072 9.3072
angles (deg): 154.32 154.32 36.64
Sites, in units of the cell vectors:
1 Cd 0.0000 0.5000 0.5000
2 Cd 0.1277 0.1277 0.0000
3 Cd 0.2500 0.7500 0.5000
4 Cd 0.5000 0.0000 0.5000
5 Cd 0.7500 0.2500 0.5000
6 Cd 0.8723 0.8723 0.0000
7 Tc 0.3830 0.3830 0.0000
8 Tc 0.6170 0.6170 0.0000